# MnSb4O12
Computed powder diffraction line list, copper Kα. Input: a cell relaxed with GGA+U.
Lines closer than 0.1° are merged.

Cell and atoms:
```
17
Lattice="5.0825 0.0000 0.0000 -0.0812 5.5021 0.0000 -0.1029 -0.7025 7.5159" Properties=species:S:1:pos:R:3 pbc="T T T"
Mn 0.0000 0.0000 0.0000
Sb -0.0592 1.9049 2.4057
Sb 2.3632 4.1686 5.9010
Sb 2.4786 4.5371 2.3284
Sb 4.9052 1.6068 5.9279
O 0.6923 1.6968 4.2246
O 0.7204 3.2455 6.6927
O 0.8649 0.1228 1.6931
O 1.3422 0.2584 6.6516
O 1.5232 2.9031 1.7460
O 1.6737 4.4967 4.1437
O 3.1901 2.4220 5.5340
O 3.2815 4.6896 0.3324
O 3.4427 0.7550 2.7778
O 4.0898 3.5522 2.8203
O 4.1671 -0.3191 5.7641
O 4.4615 1.7551 0.3518
```

Most intense lines, 15° ≤ 2θ ≤ 90°, in order of rising 2θ:
(hkl), d [Å], Rel. int.
1 -1 0, 3.757, 100
1 1 0, 3.696, 49
1 1 -2, 2.739, 45
1 -1 2, 2.729, 23
-1 1 2, 2.589, 17
2 0 0, 2.542, 32
2 -2 0, 1.878, 18
1 -3 0, 1.727, 17
2 -2 2, 1.717, 16
2 2 -2, 1.709, 18